For U2Co3O8, a cell relaxed with GGA+U gives the computed powder diffraction line list in this record (CuKα).
Kinematic intensities with the Lorentz-polarization factor, no thermal factor.

Principal peaks in the range 15 to 90 degrees two-theta, in order of rising 2θ:
- d 5.371, intensity 100
- d 4.292, intensity 19
- d 3.773, intensity 13
- d 3.661, intensity 23
- d 3.128, intensity 44
- d 3.010, intensity 20
- d 2.785, intensity 49
- d 2.685, intensity 11
- d 2.628, intensity 31
- d 2.325, intensity 11
- d 1.830, intensity 13
- d 1.732, intensity 12

```
data_U2Co3O8
_chemical_formula_sum 'U4 Co6 O16'
_cell_length_a 5.416
_cell_length_b 7.322
_cell_length_c 12.142
_cell_angle_alpha 90.00
_cell_angle_beta 97.42
_cell_angle_gamma 90.00
_symmetry_space_group_name_H-M 'P 1'
_symmetry_Int_Tables_number 1
loop_
_symmetry_equiv_pos_as_xyz
'x,y,z'
loop_
_atom_site_label
_atom_site_type_symbol
_atom_site_fract_x
_atom_site_fract_y
_atom_site_fract_z
_atom_site_occupancy
U1 U 0.000 0.000 0.000 1
U2 U 0.043 0.500 0.967 1
U3 U 0.874 0.500 0.493 1
U4 U 0.920 0.000 0.454 1
Co1 Co 0.387 0.500 0.668 1
Co2 Co 0.622 0.000 0.170 1
Co3 Co 0.919 0.295 0.231 1
Co4 Co 0.919 0.705 0.231 1
Co5 Co 0.966 0.297 0.729 1
Co6 Co 0.966 0.703 0.729 1
O1 O 0.015 0.295 0.091 1
O2 O 0.015 0.705 0.091 1
O3 O 0.043 0.225 0.884 1
O4 O 0.043 0.775 0.884 1
O5 O 0.199 0.500 0.782 1
O6 O 0.247 0.500 0.514 1
O7 O 0.267 0.000 0.458 1
O8 O 0.329 0.000 0.079 1
O9 O 0.674 0.000 0.941 1
O10 O 0.696 0.500 0.932 1
O11 O 0.731 0.500 0.663 1
O12 O 0.806 0.297 0.372 1
O13 O 0.806 0.703 0.372 1
O14 O 0.911 0.000 0.261 1
O15 O 0.921 0.202 0.579 1
O16 O 0.921 0.798 0.579 1
```